Entry 1:
For K2BaCoF6, the GGA+U geometry in Alexandria gives the theoretical powder diffraction line list in this record (copper Kα).

Principal peaks in the range 10 to 90 degrees two-theta, sorted by position:
Position (°2θ)	intensity
19.80	81
27.85	100
28.44	94
33.08	21
40.19	43
40.31	21
44.78	21
45.60	19
49.36	12
49.64	47
50.71	25
58.85	14

Structure:
Cell: 6.282 6.417 10.792 Å, 90.00 123.99 90.00°
Space group P2_1/c (No. 14)
Asymmetric unit:
K 0.228 0.049 0.247
Ba 0.500 0.000 0.000
Co 0.000 0.000 0.500
F 0.116 0.234 0.940
F 0.209 0.683 0.946
F 0.323 0.041 0.719

Entry 2:
For Ba2Co3NiF12, the GGA+U geometry in Alexandria gives the theoretical powder diffraction line list in this record (copper Kα).

Principal peaks in the range 10 to 90 degrees two-theta, sorted by position:
Position (°2θ)	intensity
16.88	32
23.64	24
27.83	21
28.10	100
30.22	19
37.46	11
38.72	18
44.42	33
48.37	28
52.38	15
58.10	18
67.75	15

Structure:
Cell: 7.5272 7.5272 17.7460 Å, 90.00 90.00 120.00°
Space group R-3m (No. 166, hexagonal axes)
Asymmetric unit:
Ba 0.0000 0.0000 0.1767
Co 0.0000 0.5000 0.0000
Ni 0.0000 0.0000 0.5000
F 0.0649 0.5324 0.1110
F 0.0784 0.5392 0.3705

Entry 3:
For BaCo2NiF8, the GGA+U geometry in Alexandria gives the theoretical powder diffraction line list in this record (copper Kα).

Principal peaks in the range 10 to 90 degrees two-theta, sorted by position:
Position (°2θ)	intensity
20.26	30
25.64	100
27.35	68
27.76	54
29.57	23
30.38	35
30.80	28
39.57	21
44.22	17
46.61	31
47.98	22
48.86	21

Structure:
Cell: 4.567 5.013 7.827 Å, 95.08 91.98 93.46°
Space group P-1 (No. 2)
Asymmetric unit:
Ba 0.000 0.000 0.000
Co 0.481 0.531 0.691
Ni 0.000 0.000 0.500
F 0.151 0.225 0.318
F 0.181 0.235 0.713
F 0.330 0.726 0.488
F 0.444 0.724 0.917

Entry 4:
For Ba6Co6O16F, the GGA+U geometry in Alexandria gives the theoretical powder diffraction line list in this record (copper Kα).

Principal peaks in the range 10 to 90 degrees two-theta, sorted by position:
Position (°2θ)	intensity
25.54	29
25.69	53
30.40	20
30.53	44
30.76	100
31.14	52
40.29	20
40.70	39
44.08	17
54.43	14
55.17	18
64.07	16

Structure:
Cell: 14.457 5.744 10.110 Å, 90.00 90.00 90.00°
Space group Amm2 (No. 38)
Asymmetric unit:
Ba 0.000 0.000 0.000
Ba 0.147 0.000 0.663
Ba 0.312 0.000 0.002
Ba 0.500 0.000 0.322
Co 0.085 0.000 0.326
Co 0.256 0.000 0.329
Co 0.382 0.000 0.678
O 0.000 0.000 0.477
O 0.000 0.222 0.260
O 0.157 0.000 0.171
O 0.170 0.217 0.400
O 0.333 0.236 0.252
O 0.352 0.000 0.507
O 0.500 0.000 0.748
F 0.500 0.000 0.056